# GdMnGe
Theoretical X-ray powder pattern, Cu Kα, 1.54184 Å. Input: the PBE geometry in the Materials Project.
No peak broadening, texture or thermal motion is included.

Main lines, by intensity (10° ≤ 2θ ≤ 90°):
two_theta, intensity
36.21, 100
34.51, 92
35.77, 43
46.79, 31
40.83, 25
25.46, 24
33.82, 21
65.64, 19

Structure:
```
GdMnGe
1.0
7.0358 0.0000 0.0000
0.0000 3.8833 0.0000
0.0000 0.0000 8.0622
Gd Mn Ge
4 4 4
Cartesian
0.1582 0.9708 1.4430
3.3597 2.9125 5.4741
3.6761 0.9708 2.5881
6.8775 2.9125 6.6192
0.8507 0.9708 4.4843
2.6672 2.9125 0.4532
4.3686 0.9708 7.6089
6.1850 2.9125 3.5779
1.5505 2.9125 3.1416
1.9674 0.9708 7.1727
5.0684 2.9125 0.8895
5.4853 0.9708 4.9206
```

---

# Gd2Nb3Ge4
Theoretical X-ray powder pattern, Cu Kα, 1.54184 Å. Input: the PBE geometry in the Materials Project.
No peak broadening, texture or thermal motion is included.

Main lines, by intensity (10° ≤ 2θ ≤ 90°):
two_theta, intensity
34.21, 100
34.55, 96
40.41, 55
36.27, 52
40.17, 31
39.70, 25
38.85, 23
61.56, 22

Structure:
```
Gd2Nb3Ge4
1.0
7.0423 0.0000 0.0000
0.0000 13.6211 0.0000
0.0000 0.0000 7.2143
Gd Nb Ge
8 12 16
Cartesian
0.0140 1.2938 1.2464
0.0140 5.5167 1.2464
3.5071 8.1044 4.8536
3.5071 12.3272 4.8536
3.5352 1.2938 2.3608
3.5352 5.5167 2.3608
7.0282 8.1044 5.9679
7.0282 12.3272 5.9679
1.1305 8.5379 2.3683
1.1305 11.8937 2.3683
1.1567 3.4053 3.6989
2.3644 10.2158 0.0918
2.3906 1.7273 5.9755
2.3906 5.0832 5.9755
4.6517 8.5379 1.2389
4.6517 11.8937 1.2389
4.6779 3.4053 7.1225
5.8855 10.2158 3.5154
5.9117 1.7273 4.8460
5.9117 5.0832 4.8460
0.2756 3.4053 6.3215
1.2094 0.5758 3.8933
1.2094 6.2347 3.8933
1.3755 10.2158 4.5768
2.1456 3.4053 0.9696
2.3117 7.3863 0.2861
2.3117 13.0453 0.2861
3.2455 10.2158 2.7143
3.7967 3.4053 4.5000
4.7305 0.5758 6.9282
4.7305 6.2347 6.9282
4.8966 10.2158 6.2447
5.6668 3.4053 2.6375
5.8328 7.3863 3.3210
5.8328 13.0453 3.3210
6.7666 10.2158 0.8928
```

---

# GdNi2Ge2
Theoretical X-ray powder pattern, Cu Kα, 1.54184 Å. Input: the PBE geometry in the Materials Project.
No peak broadening, texture or thermal motion is included.

Main lines, by intensity (10° ≤ 2θ ≤ 90°):
two_theta, intensity
34.90, 100
35.98, 99
44.35, 67
57.65, 47
30.96, 29
51.17, 29
70.00, 22
64.53, 21

Structure:
```
GdNi2Ge2
1.0
-2.0424 2.0424 4.9614
2.0424 -2.0424 4.9614
2.0424 2.0424 -4.9614
Gd Ni Ge
1 2 2
Cartesian
0.0000 0.0000 0.0000
2.0424 0.0000 2.4807
0.0000 2.0424 2.4807
0.0000 0.0000 3.6851
0.0000 0.0000 6.2376
```

---

# Gd2GeO5
Theoretical X-ray powder pattern, Cu Kα, 1.54184 Å. Input: the PBE geometry in the Materials Project.
No peak broadening, texture or thermal motion is included.

Main lines, by intensity (10° ≤ 2θ ≤ 90°):
two_theta, intensity
31.18, 100
29.43, 71
28.85, 63
32.56, 61
47.02, 55
28.36, 54
30.87, 51
51.15, 29

Structure:
```
Gd2GeO5
1.0
9.4228 0.0000 0.0000
0.0000 7.1423 0.0000
-1.7775 0.0000 6.6621
Gd Ge O
8 4 20
Cartesian
-0.1661 0.9092 1.5388
-1.0549 2.6620 4.8699
3.3679 0.9690 0.2896
2.4791 2.6021 3.6207
5.1661 4.5402 3.0414
4.2774 6.1733 6.3725
8.7001 4.4803 1.7922
7.8113 6.2331 5.1233
2.8005 4.2272 0.1573
1.9118 6.4863 3.4884
5.7335 0.6560 3.1737
4.8447 2.9152 6.5048
-0.7349 4.5395 6.6068
0.1539 6.1740 3.2757
-0.6209 0.8320 6.2142
0.2678 2.7392 2.8831
2.0951 0.5920 2.1802
1.2064 2.9791 5.5113
2.3890 0.4362 4.7930
3.2778 3.1349 1.4620
2.8108 5.0198 3.2903
1.9220 5.6937 6.6213
5.7232 1.4486 0.0408
4.8344 2.1226 3.3718
4.3675 4.0074 5.2001
5.2562 6.7061 1.8691
6.4389 4.1632 1.1508
5.5501 6.5503 4.4818
7.3774 4.4032 3.7790
8.2662 6.3103 0.4479
7.4914 0.9683 3.3864
8.3801 2.6029 0.0553
```

---

# Gd3Ge13Os4
Theoretical X-ray powder pattern, Cu Kα, 1.54184 Å. Input: the PBE geometry in the Materials Project.
No peak broadening, texture or thermal motion is included.

Main lines, by intensity (10° ≤ 2θ ≤ 90°):
two_theta, intensity
35.65, 100
39.70, 57
49.15, 53
34.20, 52
19.55, 48
37.04, 39
44.62, 38
68.54, 38

Structure:
```
Gd3Ge13Os4
1.0
9.0815 0.0000 0.0000
0.0000 9.0815 0.0000
0.0000 0.0000 9.0815
Gd Ge Os
6 26 8
Cartesian
0.0000 2.2704 4.5408
0.0000 6.8111 4.5408
2.2704 4.5408 0.0000
4.5408 0.0000 2.2704
4.5408 0.0000 6.8111
6.8111 4.5408 0.0000
0.0000 0.0000 0.0000
0.0000 2.7541 1.3284
0.0000 2.7541 7.7531
0.0000 6.3274 1.3284
0.0000 6.3274 7.7531
1.3284 0.0000 2.7541
1.3284 0.0000 6.3274
1.7867 4.5408 3.2124
1.7867 4.5408 5.8691
2.7541 1.3284 0.0000
2.7541 7.7531 0.0000
3.2124 1.7867 4.5408
3.2124 7.2948 4.5408
4.5408 3.2124 1.7867
4.5408 3.2124 7.2948
4.5408 4.5408 4.5408
4.5408 5.8691 1.7867
4.5408 5.8691 7.2948
5.8691 1.7867 4.5408
5.8691 7.2948 4.5408
6.3274 1.3284 0.0000
6.3274 7.7531 0.0000
7.2948 4.5408 3.2124
7.2948 4.5408 5.8691
7.7531 0.0000 2.7541
7.7531 0.0000 6.3274
2.2704 2.2704 2.2704
2.2704 2.2704 6.8111
2.2704 6.8111 2.2704
2.2704 6.8111 6.8111
6.8111 2.2704 2.2704
6.8111 2.2704 6.8111
6.8111 6.8111 2.2704
6.8111 6.8111 6.8111
```

---

# GdGe2Pd2
Theoretical X-ray powder pattern, Cu Kα, 1.54184 Å. Input: the PBE geometry in the Materials Project.
No peak broadening, texture or thermal motion is included.

Main lines, by intensity (10° ≤ 2θ ≤ 90°):
two_theta, intensity
34.22, 100
41.84, 54
33.52, 47
54.64, 23
71.52, 23
49.36, 18
60.66, 18
66.65, 15

Structure:
```
GdGe2Pd2
1.0
-2.1590 2.1590 5.1066
2.1590 -2.1590 5.1066
2.1590 2.1590 -5.1066
Gd Ge Pd
1 2 2
Cartesian
0.0000 0.0000 0.0000
0.0000 0.0000 3.8698
0.0000 0.0000 6.3433
2.1590 0.0000 2.5533
0.0000 2.1590 2.5533
```

---

# GdGe2Rh2
Theoretical X-ray powder pattern, Cu Kα, 1.54184 Å. Input: the PBE geometry in the Materials Project.
No peak broadening, texture or thermal motion is included.

Main lines, by intensity (10° ≤ 2θ ≤ 90°):
two_theta, intensity
35.02, 100
33.56, 53
43.54, 53
56.07, 24
74.41, 22
48.75, 21
63.27, 17
61.90, 17

Structure:
```
GdGe2Rh2
1.0
-2.0786 2.0786 5.2274
2.0786 -2.0786 5.2274
2.0786 2.0786 -5.2274
Gd Ge Rh
1 2 2
Cartesian
0.0000 0.0000 0.0000
0.0000 0.0000 3.9481
0.0000 0.0000 6.5067
2.0786 0.0000 2.6137
0.0000 2.0786 2.6137
```

---

# GdGe4Rh6
Theoretical X-ray powder pattern, Cu Kα, 1.54184 Å. Input: the PBE geometry in the Materials Project.
No peak broadening, texture or thermal motion is included.

Main lines, by intensity (10° ≤ 2θ ≤ 90°):
two_theta, intensity
36.97, 100
38.04, 34
44.93, 32
50.52, 26
33.97, 25
47.04, 25
80.69, 21
71.50, 18

Structure:
```
GdGe4Rh6
1.0
7.2265 0.0000 0.0000
-3.6132 6.2583 0.0000
0.0000 0.0000 3.8639
Gd Ge Rh
1 4 6
Cartesian
0.0000 0.0000 0.0000
0.0000 4.1722 0.0000
2.1358 1.2331 1.9319
5.0906 1.2331 1.9319
3.6132 3.7921 1.9319
0.0000 2.4976 1.9319
-1.4503 5.0095 1.9319
3.6132 0.4176 0.0000
2.1682 2.9204 0.0000
1.4503 5.0095 1.9319
5.0582 2.9204 0.0000
```

---

# Gd2Sc3Ge4
Theoretical X-ray powder pattern, Cu Kα, 1.54184 Å. Input: the PBE geometry in the Materials Project.
No peak broadening, texture or thermal motion is included.

Main lines, by intensity (10° ≤ 2θ ≤ 90°):
two_theta, intensity
32.82, 100
33.27, 100
38.98, 41
22.22, 28
37.94, 28
34.79, 27
38.10, 24
13.32, 23

Structure:
```
Gd2Sc3Ge4
1.0
7.2827 0.0000 0.0000
0.0000 14.1726 0.0000
0.0000 0.0000 7.5257
Gd Sc Ge
8 12 16
Cartesian
0.0124 1.3623 1.3271
0.0124 5.7240 1.3271
3.6290 8.4486 5.0899
3.6290 12.8103 5.0899
3.6537 1.3623 2.4357
3.6537 5.7240 2.4357
7.2703 8.4486 6.1985
7.2703 12.8103 6.1985
1.1615 8.8530 2.4977
1.1615 12.4059 2.4977
1.2786 3.5432 3.7639
2.3628 10.6295 0.0011
2.4799 1.7667 6.2605
2.4799 5.3196 6.2605
4.8028 8.8530 1.2651
4.8028 12.4059 1.2651
4.9199 3.5432 7.5246
6.0042 10.6295 3.7618
6.1213 1.7667 5.0280
6.1213 5.3196 5.0280
0.2865 3.5432 6.5687
1.2877 0.5902 4.0714
1.2877 6.4961 4.0714
1.4039 10.6295 4.7917
2.2374 3.5432 1.0289
2.3536 7.6765 0.3085
2.3536 13.5824 0.3085
3.3549 10.6295 2.8059
3.9278 3.5432 4.7198
4.9291 0.5902 7.2171
4.9291 6.4961 7.2171
5.0453 10.6295 6.4968
5.8788 3.5432 2.7340
5.9950 7.6765 3.4543
5.9950 13.5824 3.4543
6.9962 10.6295 0.9570
```